# LiNi3O3F
Calculated powder diffraction line list, Cu Kα X-rays. Input: the PBE+U geometry in the Materials Project.
Lines closer than 0.1° are merged.

Principal peaks in the range 15° ≤ 2θ ≤ 90°, in order of rising 2θ:
hkl, d (Å), two_theta, intensity
1 0 2, 2.432, 37.0, 77.1
0 0 4, 2.131, 42.4, 52.6
1 1 0, 2.095, 43.2, 100.0
1 1 4, 1.494, 62.1, 58.5
2 0 0, 1.481, 62.7, 28.5
2 0 4, 1.216, 78.7, 26.8

Cell and atoms:
```
data_LiNi3O3F
_chemical_formula_sum 'Li1 Ni3 O3 F1'
_cell_length_a 2.9624
_cell_length_b 2.9624
_cell_length_c 8.5239
_cell_angle_alpha 90.00
_cell_angle_beta 90.00
_cell_angle_gamma 90.00
_space_group_name_H-M_alt 'P 4/m m m'
_space_group_IT_number 123
_space_group_name_Hall '-P 4 2'
loop_
_atom_site_label
_atom_site_type_symbol
_atom_site_fract_x
_atom_site_fract_y
_atom_site_fract_z
_atom_site_occupancy
Li1 Li 0.0000 0.0000 0.0000 1
Ni1 Ni 0.0000 0.0000 0.5000 1
Ni2 Ni 0.5000 0.5000 0.2544 1
O1 O 0.0000 0.0000 0.2500 1
O2 O 0.5000 0.5000 0.5000 1
F1 F 0.5000 0.5000 0.0000 1
```

=====

# Li4Ni3O6F
Calculated powder diffraction line list, Cu Kα X-rays. Input: the PBE+U geometry in the Materials Project.
Lines closer than 0.1° are merged.

Principal peaks in the range 15° ≤ 2θ ≤ 90°, in order of rising 2θ:
hkl, d (Å), two_theta, intensity
2 0 -1, 3.980, 22.3, 68.1
1 1 0, 3.770, 23.6, 100.0
0 0 2, 3.153, 28.3, 40.0
0 2 0, 2.070, 43.7, 50.5
4 0 1, 2.052, 44.1, 48.5
2 0 -3, 2.024, 44.8, 46.3

Cell and atoms:
```
data_Li4Ni3O6F
_chemical_formula_sum 'Li8 Ni6 O12 F2'
_cell_length_a 9.2187
_cell_length_b 4.1407
_cell_length_c 6.3743
_cell_angle_alpha 90.00
_cell_angle_beta 98.35
_cell_angle_gamma 90.00
_space_group_name_H-M_alt 'C 1 2/m 1'
_space_group_IT_number 12
_space_group_name_Hall '-C 2y'
loop_
_atom_site_label
_atom_site_type_symbol
_atom_site_fract_x
_atom_site_fract_y
_atom_site_fract_z
_atom_site_occupancy
Li1 Li 0.0751 0.0000 0.2115 1
Li2 Li 0.2197 0.0000 0.6427 1
Ni1 Ni 0.0000 0.5000 0.5000 1
Ni2 Ni 0.1430 0.5000 0.9259 1
O1 O 0.0556 0.5000 0.2172 1
O2 O 0.1578 0.0000 0.9392 1
O3 O 0.1929 0.5000 0.6359 1
F1 F 0.0000 0.0000 0.5000 1
```